1.
The following is a theoretical X-ray powder pattern of K2LiSbCl6. It was derived from the GGA-PBE geometry in the Materials Project, using Cu Kα, 1.54184 Å.

Atomic structure:
```
data_K2LiSbCl6
_chemical_formula_sum 'K2 Li1 Sb1 Cl6'
_symmetry_space_group_name_H-M 'P 1'
_symmetry_Int_Tables_number 1
_cell_length_a 7.383
_cell_length_b 7.383
_cell_length_c 7.383
_cell_angle_alpha 60.00
_cell_angle_beta 60.00
_cell_angle_gamma 60.00
loop_
_symmetry_equiv_pos_as_xyz
'x,y,z'
loop_
_atom_site_label
_atom_site_type_symbol
_atom_site_fract_x
_atom_site_fract_y
_atom_site_fract_z
K1 K 0.250 0.250 0.250
K2 K 0.750 0.750 0.750
Li1 Li 0.000 0.000 0.000
Sb1 Sb 0.500 0.500 0.500
Cl1 Cl 0.246 0.246 0.754
Cl2 Cl 0.246 0.754 0.246
Cl3 Cl 0.246 0.754 0.754
Cl4 Cl 0.754 0.246 0.246
Cl5 Cl 0.754 0.246 0.754
Cl6 Cl 0.754 0.754 0.246
```

Main lines, in order of rising 2θ (10° ≤ 2θ ≤ 90°):
two_theta, I_rel
14.69, 72
16.98, 46
24.11, 52
28.35, 52
34.36, 100
49.38, 64

2.
The following is a theoretical X-ray powder pattern of FeCl3. It was derived from the GGA-PBE geometry in the Materials Project, using Cu Kα, 1.54184 Å.

Atomic structure:
```
data_FeCl3
_chemical_formula_sum 'Fe2 Cl6'
_symmetry_space_group_name_H-M 'P 1'
_symmetry_Int_Tables_number 1
_cell_length_a 3.866
_cell_length_b 7.524
_cell_length_c 7.671
_cell_angle_alpha 77.96
_cell_angle_beta 78.40
_cell_angle_gamma 84.69
loop_
_symmetry_equiv_pos_as_xyz
'x,y,z'
loop_
_atom_site_label
_atom_site_type_symbol
_atom_site_fract_x
_atom_site_fract_y
_atom_site_fract_z
Fe1 Fe 0.000 0.000 0.000
Fe2 Fe 0.078 0.624 0.308
Cl1 Cl 0.079 0.049 0.712
Cl2 Cl 0.168 0.558 0.576
Cl3 Cl 0.296 0.722 0.017
Cl4 Cl 0.460 0.154 0.019
Cl5 Cl 0.851 0.904 0.310
Cl6 Cl 0.865 0.385 0.285
```

Main lines, in order of rising 2θ (10° ≤ 2θ ≤ 90°):
two_theta, I_rel
12.02, 95
15.28, 100
23.53, 48
31.90, 41
34.94, 38
36.58, 31

3.
The following is a theoretical X-ray powder pattern of BaCaEuSbO6. It was derived from the GGA-PBE geometry in the Materials Project, using Cu Kα, 1.54184 Å.

Atomic structure:
```
data_BaCaEuSbO6
_chemical_formula_sum 'Ba4 Ca4 Eu4 Sb4 O24'
_symmetry_space_group_name_H-M 'P 1'
_symmetry_Int_Tables_number 1
_cell_length_a 8.420
_cell_length_b 8.427
_cell_length_c 8.464
_cell_angle_alpha 90.00
_cell_angle_beta 90.00
_cell_angle_gamma 90.00
loop_
_symmetry_equiv_pos_as_xyz
'x,y,z'
loop_
_atom_site_label
_atom_site_type_symbol
_atom_site_fract_x
_atom_site_fract_y
_atom_site_fract_z
Ba1 Ba 0.000 0.000 0.000
Ba2 Ba 0.000 0.000 0.500
Ba3 Ba 0.500 0.000 0.000
Ba4 Ba 0.500 0.500 0.500
Ca1 Ca 0.000 0.500 0.000
Ca2 Ca 0.000 0.500 0.500
Ca3 Ca 0.500 0.000 0.500
Ca4 Ca 0.500 0.500 0.000
Eu1 Eu 0.250 0.254 0.250
Eu2 Eu 0.250 0.746 0.750
Eu3 Eu 0.750 0.254 0.750
Eu4 Eu 0.750 0.746 0.250
Sb1 Sb 0.249 0.256 0.749
Sb2 Sb 0.249 0.744 0.251
Sb3 Sb 0.751 0.256 0.251
Sb4 Sb 0.751 0.744 0.749
O1 O 0.016 0.221 0.721
O2 O 0.016 0.779 0.279
O3 O 0.205 0.295 0.982
O4 O 0.205 0.705 0.018
O5 O 0.207 0.484 0.696
O6 O 0.207 0.516 0.304
O7 O 0.276 0.019 0.782
O8 O 0.276 0.981 0.218
O9 O 0.301 0.209 0.519
O10 O 0.301 0.791 0.481
O11 O 0.480 0.301 0.796
O12 O 0.480 0.699 0.204
O13 O 0.520 0.301 0.204
O14 O 0.520 0.699 0.796
O15 O 0.699 0.209 0.481
O16 O 0.699 0.791 0.519
O17 O 0.724 0.019 0.218
O18 O 0.724 0.981 0.782
O19 O 0.793 0.484 0.304
O20 O 0.793 0.516 0.696
O21 O 0.795 0.295 0.018
O22 O 0.795 0.705 0.982
O23 O 0.984 0.221 0.279
O24 O 0.984 0.779 0.721
```

Main lines, in order of rising 2θ (10° ≤ 2θ ≤ 90°):
two_theta, I_rel
29.96, 100
42.95, 18
53.10, 15
53.23, 29
62.20, 11
70.72, 12

4.
The following is a theoretical X-ray powder pattern of ZrBrN. It was derived from the GGA-PBE geometry in the Materials Project, using Cu Kα, 1.54184 Å.

Atomic structure:
```
data_ZrBrN
_chemical_formula_sum 'Zr2 Br2 N2'
_symmetry_space_group_name_H-M 'P 1'
_symmetry_Int_Tables_number 1
_cell_length_a 3.496
_cell_length_b 3.496
_cell_length_c 13.874
_cell_angle_alpha 90.00
_cell_angle_beta 90.00
_cell_angle_gamma 120.00
loop_
_symmetry_equiv_pos_as_xyz
'x,y,z'
loop_
_atom_site_label
_atom_site_type_symbol
_atom_site_fract_x
_atom_site_fract_y
_atom_site_fract_z
Zr1 Zr 0.000 0.000 0.164
Zr2 Zr 0.000 0.000 0.836
Br1 Br 0.333 0.667 0.689
Br2 Br 0.667 0.333 0.311
N1 N 0.333 0.667 0.121
N2 N 0.667 0.333 0.879
```

Main lines, in order of rising 2θ (10° ≤ 2θ ≤ 90°):
two_theta, I_rel
12.76, 100
30.21, 48
32.26, 26
35.43, 81
39.51, 25
52.33, 26

5.
The following is a theoretical X-ray powder pattern of Ti2ZnO4. It was derived from the GGA-PBE geometry in the Materials Project, using Cu Kα, 1.54184 Å.

Atomic structure:
```
data_Ti2ZnO4
_chemical_formula_sum 'Ti4 Zn2 O8'
_symmetry_space_group_name_H-M 'P 1'
_symmetry_Int_Tables_number 1
_cell_length_a 6.151
_cell_length_b 6.151
_cell_length_c 6.151
_cell_angle_alpha 57.92
_cell_angle_beta 57.92
_cell_angle_gamma 57.92
loop_
_symmetry_equiv_pos_as_xyz
'x,y,z'
loop_
_atom_site_label
_atom_site_type_symbol
_atom_site_fract_x
_atom_site_fract_y
_atom_site_fract_z
Ti1 Ti 0.000 0.000 0.000
Ti2 Ti 0.107 0.631 0.631
Ti3 Ti 0.631 0.107 0.631
Ti4 Ti 0.631 0.631 0.107
Zn1 Zn 0.251 0.251 0.251
Zn2 Zn 0.615 0.615 0.615
O1 O 0.371 0.371 0.845
O2 O 0.371 0.845 0.371
O3 O 0.382 0.382 0.382
O4 O 0.385 0.868 0.868
O5 O 0.845 0.371 0.371
O6 O 0.868 0.385 0.868
O7 O 0.868 0.868 0.385
O8 O 0.878 0.878 0.878
```

Main lines, in order of rising 2θ (10° ≤ 2θ ≤ 90°):
two_theta, I_rel
30.00, 37
34.07, 44
34.89, 100
42.26, 32
60.24, 39
62.36, 36

6.
The following is a theoretical X-ray powder pattern of Pd3N. It was derived from the GGA-PBE geometry in the Materials Project, using Cu Kα, 1.54184 Å.

Atomic structure:
```
data_Pd3N
_chemical_formula_sum 'Pd6 N2'
_symmetry_space_group_name_H-M 'P 1'
_symmetry_Int_Tables_number 1
_cell_length_a 4.855
_cell_length_b 4.855
_cell_length_c 4.855
_cell_angle_alpha 90.00
_cell_angle_beta 90.00
_cell_angle_gamma 90.00
loop_
_symmetry_equiv_pos_as_xyz
'x,y,z'
loop_
_atom_site_label
_atom_site_type_symbol
_atom_site_fract_x
_atom_site_fract_y
_atom_site_fract_z
Pd1 Pd 0.000 0.250 0.500
Pd2 Pd 0.000 0.750 0.500
Pd3 Pd 0.250 0.500 0.000
Pd4 Pd 0.500 0.000 0.250
Pd5 Pd 0.500 0.000 0.750
Pd6 Pd 0.750 0.500 0.000
N1 N 0.000 0.000 0.000
N2 N 0.500 0.500 0.500
```

Main lines, in order of rising 2θ (10° ≤ 2θ ≤ 90°):
two_theta, I_rel
25.96, 34
37.04, 11
41.60, 100
45.78, 23
66.75, 17
69.86, 21

7.
The following is a theoretical X-ray powder pattern of Ba2TmTaO6. It was derived from the GGA-PBE geometry in the Materials Project, using Cu Kα, 1.54184 Å.

Atomic structure:
```
data_Ba2TmTaO6
_chemical_formula_sum 'Ba2 Tm1 Ta1 O6'
_symmetry_space_group_name_H-M 'P 1'
_symmetry_Int_Tables_number 1
_cell_length_a 5.988
_cell_length_b 5.988
_cell_length_c 5.988
_cell_angle_alpha 60.00
_cell_angle_beta 60.00
_cell_angle_gamma 60.00
loop_
_symmetry_equiv_pos_as_xyz
'x,y,z'
loop_
_atom_site_label
_atom_site_type_symbol
_atom_site_fract_x
_atom_site_fract_y
_atom_site_fract_z
Ba1 Ba 0.250 0.250 0.250
Ba2 Ba 0.750 0.750 0.750
Tm1 Tm 0.000 0.000 0.000
Ta1 Ta 0.500 0.500 0.500
O1 O 0.262 0.262 0.738
O2 O 0.262 0.738 0.262
O3 O 0.262 0.738 0.738
O4 O 0.738 0.262 0.262
O5 O 0.738 0.262 0.738
O6 O 0.738 0.738 0.262
```

Main lines, in order of rising 2θ (10° ≤ 2θ ≤ 90°):
two_theta, I_rel
29.84, 100
42.71, 28
52.97, 41
61.99, 18
70.31, 18
85.88, 22